For NbNiH, a cell relaxed with PBE gives the calculated XRD peak list in this record (Cu Kα X-rays).
Kinematic intensities with the Lorentz-polarization factor, no thermal factor.

Cell and atoms:
```
data_NbNiH
_cell_length_a 4.5272
_cell_length_b 2.9265
_cell_length_c 4.6866
_cell_angle_alpha 90.00
_cell_angle_beta 90.00
_cell_angle_gamma 90.00
_space_group_name_H-M_alt 'P m m a'
_space_group_IT_number 51
loop_
_space_group_symop_operation_xyz
'x,y,z'
'-x,-y,-z'
'-x+1/2,-y,z'
'x+1/2,y,-z'
'x+1/2,-y,-z'
'-x+1/2,y,z'
'-x,y,-z'
'x,-y,z'
loop_
_atom_site_label
_atom_site_type_symbol
_atom_site_fract_x
_atom_site_fract_y
_atom_site_fract_z
Nb1 Nb 0.2500 0.0000 0.2086
Ni1 Ni 0.2500 0.5000 0.6678
H1 H 0.0000 0.5000 0.0000
```

Largest 10 diffraction maxima, in order of rising 2θ, 5 to 70 degrees two-theta:
2θ = 27.39°, I = 8.9, hkl 1 0 1
2θ = 36.19°, I = 10.2, hkl 0 1 1
2θ = 38.42°, I = 18.6, hkl 0 0 2
2θ = 39.82°, I = 32.3, hkl 2 0 0
2θ = 41.49°, I = 100.0, hkl 1 1 1
2θ = 43.49°, I = 21.0, hkl 1 0 2
2θ = 54.89°, I = 6.3, hkl 2 1 1
2θ = 56.53°, I = 12.0, hkl 2 0 2
2θ = 63.59°, I = 7.8, hkl 0 2 0
2θ = 68.03°, I = 8.5, hkl 0 1 3